Gd2ZnAg: simulated powder X-ray diffraction pattern (CuKα), based on a GGA-PBE-relaxed structure.

Cell and atoms:
Lattice parameters (Å, degrees): 5.1701 5.1701 5.1701 60.00 60.00 60.00
Positions (direct):
Gd1 0.2500 0.2500 0.2500
Gd2 0.7500 0.7500 0.7500
Zn1 0.0000 0.0000 0.0000
Ag1 0.5000 0.5000 0.5000

Main lines, by angle (10° ≤ 2θ ≤ 90°):
| two_theta | intensity |
| --- | --- |
| 21.05 | 2 |
| 24.35 | 8 |
| 34.70 | 100 |
| 42.85 | 2 |
| 49.89 | 18 |
| 56.27 | 4 |
| 62.20 | 36 |
| 73.23 | 11 |
| 78.49 | 2 |
| 83.65 | 16 |

***

SrMg14NbO16: simulated powder X-ray diffraction pattern (CuKα), based on a GGA-PBE-relaxed structure.

Cell and atoms:
Lattice parameters (Å, degrees): 4.4226 8.7077 8.8287 90.00 90.00 90.00
Positions (direct):
Sr1 0.0000 0.0000 0.0000
Mg1 0.0000 0.2583 0.2526
Mg2 0.0000 0.2583 0.7474
Mg3 0.0000 0.5000 0.0000
Mg4 0.0000 0.5000 0.5000
Mg5 0.0000 0.7417 0.2526
Mg6 0.0000 0.7417 0.7474
Mg7 0.5000 0.0000 0.2525
Mg8 0.5000 0.0000 0.7475
Mg9 0.5000 0.2560 0.5000
Mg10 0.5000 0.2602 0.0000
Mg11 0.5000 0.5000 0.2503
Mg12 0.5000 0.5000 0.7497
Mg13 0.5000 0.7398 0.0000
Mg14 0.5000 0.7440 0.5000
Nb1 0.0000 0.0000 0.5000
O1 0.0000 0.0000 0.2592
O2 0.0000 0.0000 0.7408
O3 0.0000 0.2628 0.5000
O4 0.0000 0.2725 0.0000
O5 0.0000 0.5000 0.2535
O6 0.0000 0.5000 0.7465
O7 0.0000 0.7275 0.0000
O8 0.0000 0.7372 0.5000
O9 0.5000 0.0000 0.0000
O10 0.5000 0.0000 0.5000
O11 0.5000 0.2490 0.2503
O12 0.5000 0.2490 0.7497
O13 0.5000 0.5000 0.0000
O14 0.5000 0.5000 0.5000
O15 0.5000 0.7510 0.2503
O16 0.5000 0.7510 0.7497

Main lines, by angle (10° ≤ 2θ ≤ 90°):
| two_theta | intensity |
| --- | --- |
| 10.16 | 28 |
| 20.10 | 17 |
| 22.57 | 23 |
| 28.79 | 15 |
| 35.36 | 37 |
| 40.85 | 100 |
| 41.48 | 46 |
| 59.14 | 29 |
| 59.63 | 56 |
| 74.80 | 26 |